(1)
Diffraction record for LaAu3F12. The X-ray diffraction stick pattern is simulated, not measured: it uses a cell relaxed with PBE and a wavelength of 1.5418 Å.
Kinematic intensities with the Lorentz-polarization factor, no thermal factor.

Structure:
a b c (Å): 7.6769 7.6769 7.6769
angles (deg): 85.70 85.70 85.70
Fractional positions:
1 La 0.2500 0.2500 0.2500
2 La 0.7500 0.7500 0.7500
3 Au 0.1615 0.7500 0.3385
4 Au 0.2500 0.6615 0.8385
5 Au 0.3385 0.1615 0.7500
6 Au 0.6615 0.8385 0.2500
7 Au 0.7500 0.3385 0.1615
8 Au 0.8385 0.2500 0.6615
9 F 0.0120 0.7344 0.9200
10 F 0.0282 0.2500 0.4718
11 F 0.0800 0.9880 0.2656
12 F 0.1526 0.3474 0.7500
13 F 0.2344 0.5120 0.4200
14 F 0.2500 0.4718 0.0282
15 F 0.2500 0.8474 0.6526
16 F 0.2656 0.0800 0.9880
17 F 0.3474 0.7500 0.1526
18 F 0.4200 0.2344 0.5120
19 F 0.4718 0.0282 0.2500
20 F 0.4880 0.5800 0.7656
21 F 0.5120 0.4200 0.2344
22 F 0.5282 0.9718 0.7500
23 F 0.5800 0.7656 0.4880
24 F 0.6526 0.2500 0.8474
25 F 0.7344 0.9200 0.0120
26 F 0.7500 0.1526 0.3474
27 F 0.7500 0.5282 0.9718
28 F 0.7656 0.4880 0.5800
29 F 0.8474 0.6526 0.2500
30 F 0.9200 0.0120 0.7344
31 F 0.9718 0.7500 0.5282
32 F 0.9880 0.2656 0.0800

The 10 most intense peaks (2θ = 10–90°), most intense first:
- 23.3°, I 100
- 25.3°, I 99
- 32.0°, I 44
- 36.4°, I 40
- 37.9°, I 31
- 45.5°, I 30
- 29.6°, I 30
- 26.8°, I 30
- 52.2°, I 27
- 57.1°, I 23


(2)
Diffraction record for OsAuF6. The X-ray diffraction stick pattern is simulated, not measured: it uses a cell relaxed with PBE and a wavelength of 1.5418 Å.
Kinematic intensities with the Lorentz-polarization factor, no thermal factor.

Structure:
a b c (Å): 8.0858 8.0858 8.0858
angles (deg): 109.47 109.47 109.47
Fractional positions:
1 Os 0.0000 0.0000 0.5000
2 Os 0.0000 0.5000 0.0000
3 Os 0.5000 0.0000 0.0000
4 Os 0.5000 0.5000 0.5000
5 Au 0.0000 0.0000 0.0000
6 Au 0.0000 0.5000 0.5000
7 Au 0.5000 0.0000 0.5000
8 Au 0.5000 0.5000 0.0000
9 F 0.0488 0.9429 0.7178
10 F 0.0571 0.2822 0.9512
11 F 0.1059 0.5488 0.8310
12 F 0.1690 0.8941 0.4512
13 F 0.2178 0.2749 0.6690
14 F 0.2251 0.4429 0.3941
15 F 0.2749 0.6690 0.2178
16 F 0.2822 0.9512 0.0571
17 F 0.3310 0.7822 0.7251
18 F 0.3941 0.2251 0.4429
19 F 0.4429 0.3941 0.2251
20 F 0.4512 0.1690 0.8941
21 F 0.5488 0.8310 0.1059
22 F 0.5571 0.6059 0.7749
23 F 0.6059 0.7749 0.5571
24 F 0.6690 0.2178 0.2749
25 F 0.7178 0.0488 0.9429
26 F 0.7251 0.3310 0.7822
27 F 0.7749 0.5571 0.6059
28 F 0.7822 0.7251 0.3310
29 F 0.8310 0.1059 0.5488
30 F 0.8941 0.4512 0.1690
31 F 0.9429 0.7178 0.0488
32 F 0.9512 0.0571 0.2822

The 10 most intense peaks (2θ = 10–90°), most intense first:
- 27.0°, I 100
- 47.7°, I 49
- 76.3°, I 23
- 63.0°, I 22
- 38.6°, I 16
- 55.7°, I 16
- 89.0°, I 12
- 69.8°, I 5
- 82.7°, I 2
- 41.0°, I 1


(3)
Diffraction record for Te2Pd2AuF2. The X-ray diffraction stick pattern is simulated, not measured: it uses a cell relaxed with PBE and a wavelength of 1.5418 Å.
Kinematic intensities with the Lorentz-polarization factor, no thermal factor.

Structure:
a b c (Å): 3.5779 3.5779 9.8115
angles (deg): 90.00 90.00 90.00
Fractional positions:
1 Te 0.0000 0.5000 0.2246
2 Te 0.5000 0.0000 0.7754
3 Pd 0.0000 0.5000 0.6590
4 Pd 0.5000 0.0000 0.3410
5 Au 0.0000 0.0000 0.0000
6 F 0.0000 0.0000 0.5000
7 F 0.5000 0.5000 0.5000

The 10 most intense peaks (2θ = 10–90°), most intense first:
- 40.1°, I 100
- 30.9°, I 74
- 26.5°, I 40
- 37.2°, I 40
- 51.1°, I 38
- 36.7°, I 32
- 44.8°, I 31
- 53.2°, I 25
- 24.9°, I 21
- 60.9°, I 21


Copy entry 3 word for word.
Diffraction record for Te2Pd2AuF2. The X-ray diffraction stick pattern is simulated, not measured: it uses a cell relaxed with PBE and a wavelength of 1.5418 Å.
Kinematic intensities with the Lorentz-polarization factor, no thermal factor.

Structure:
a b c (Å): 3.5779 3.5779 9.8115
angles (deg): 90.00 90.00 90.00
Fractional positions:
1 Te 0.0000 0.5000 0.2246
2 Te 0.5000 0.0000 0.7754
3 Pd 0.0000 0.5000 0.6590
4 Pd 0.5000 0.0000 0.3410
5 Au 0.0000 0.0000 0.0000
6 F 0.0000 0.0000 0.5000
7 F 0.5000 0.5000 0.5000

The 10 most intense peaks (2θ = 10–90°), most intense first:
- 40.1°, I 100
- 30.9°, I 74
- 26.5°, I 40
- 37.2°, I 40
- 51.1°, I 38
- 36.7°, I 32
- 44.8°, I 31
- 53.2°, I 25
- 24.9°, I 21
- 60.9°, I 21